(1)
Diffraction record for PuMnAl. The powder XRD pattern is theoretical, not measured: it uses a structure optimized by DFT (PBE) and CuKα.
Intensities are scaled so that the largest is 100.

The 12 most intense peaks (2θ = 10–80°), in order of rising 2θ:
| d_spacing | intensity |
| --- | --- |
| 4.713 | 41 |
| 4.625 | 24 |
| 4.286 | 20 |
| 4.130 | 25 |
| 3.171 | 29 |
| 2.739 | 39 |
| 2.687 | 64 |
| 2.443 | 89 |
| 2.431 | 39 |
| 2.309 | 38 |
| 2.275 | 100 |
| 1.518 | 20 |

Atomic structure:
```
data_PuMnAl
_symmetry_space_group_name_H-M 'P 1'
_symmetry_Int_Tables_number 1
_cell_length_a 8.5714
_cell_length_b 5.3747
_cell_length_c 5.3747
_cell_angle_alpha 61.27
_cell_angle_beta 90.00
_cell_angle_gamma 90.00
loop_
_symmetry_equiv_pos_as_xyz
'x,y,z'
loop_
_atom_site_label
_atom_site_type_symbol
_atom_site_fract_x
_atom_site_fract_y
_atom_site_fract_z
Pu1 Pu 0.1686 0.0000 0.0000
Pu2 Pu 0.2995 0.6664 0.6664
Pu3 Pu 0.7005 0.6664 0.6664
Pu4 Pu 0.8314 0.0000 0.0000
Mn1 Mn 0.0000 0.4971 0.4971
Mn2 Mn 0.0000 0.4993 0.9934
Mn3 Mn 0.0000 0.9934 0.4993
Mn4 Mn 0.5000 0.1691 0.1691
Al1 Al 0.2437 0.3286 0.3286
Al2 Al 0.5000 0.1628 0.6758
Al3 Al 0.5000 0.6758 0.1628
Al4 Al 0.7563 0.3286 0.3286
```

---

(2)
Diffraction record for MnAlRh2. The powder XRD pattern is theoretical, not measured: it uses a structure optimized by DFT (PBE) and CuKα.
Intensities are scaled so that the largest is 100.

The 12 most intense peaks (2θ = 10–80°), in order of rising 2θ:
| d_spacing | intensity |
| --- | --- |
| 6.086 | 1 |
| 3.043 | 8 |
| 3.030 | 17 |
| 2.713 | 2 |
| 2.146 | 100 |
| 1.752 | 7 |
| 1.521 | 5 |
| 1.515 | 11 |
| 1.360 | 3 |
| 1.356 | 6 |
| 1.241 | 10 |
| 1.238 | 21 |

Atomic structure:
```
data_MnAlRh2
_symmetry_space_group_name_H-M 'P 1'
_symmetry_Int_Tables_number 1
_cell_length_a 3.0301
_cell_length_b 3.0301
_cell_length_c 6.0860
_cell_angle_alpha 90.00
_cell_angle_beta 90.00
_cell_angle_gamma 90.00
loop_
_symmetry_equiv_pos_as_xyz
'x,y,z'
loop_
_atom_site_label
_atom_site_type_symbol
_atom_site_fract_x
_atom_site_fract_y
_atom_site_fract_z
Mn1 Mn 0.0000 0.0000 0.0000
Al1 Al 0.0000 0.0000 0.5000
Rh1 Rh 0.5000 0.5000 0.2579
Rh2 Rh 0.5000 0.5000 0.7421
```

---

(3)
Diffraction record for Mn2AlS4. The powder XRD pattern is theoretical, not measured: it uses a structure optimized by DFT (PBE) and CuKα.
Intensities are scaled so that the largest is 100.

The 12 most intense peaks (2θ = 10–80°), in order of rising 2θ:
| d_spacing | intensity |
| --- | --- |
| 5.794 | 66 |
| 2.991 | 11 |
| 2.979 | 7 |
| 2.502 | 100 |
| 2.456 | 48 |
| 1.935 | 11 |
| 1.794 | 15 |
| 1.753 | 60 |
| 1.746 | 15 |
| 1.449 | 14 |
| 1.423 | 15 |
| 1.251 | 9 |

Atomic structure:
```
data_Mn2AlS4
_symmetry_space_group_name_H-M 'P 1'
_symmetry_Int_Tables_number 1
_cell_length_a 7.0133
_cell_length_b 7.0133
_cell_length_c 7.0133
_cell_angle_alpha 120.28
_cell_angle_beta 118.46
_cell_angle_gamma 91.10
loop_
_symmetry_equiv_pos_as_xyz
'x,y,z'
loop_
_atom_site_label
_atom_site_type_symbol
_atom_site_fract_x
_atom_site_fract_y
_atom_site_fract_z
Mn1 Mn 0.0000 0.0000 0.0000
Mn2 Mn 0.5000 0.0000 0.0000
Mn3 Mn 0.5000 0.0000 0.5000
Mn4 Mn 0.5000 0.5000 0.5000
Al1 Al 0.0000 0.5000 0.5000
Al2 Al 0.5000 0.5000 0.0000
S1 S 0.2602 0.2699 0.5097
S2 S 0.2602 0.7505 0.9903
S3 S 0.2709 0.7435 0.5274
S4 S 0.2839 0.2565 0.0274
S5 S 0.7161 0.7435 0.9726
S6 S 0.7291 0.2565 0.4726
S7 S 0.7398 0.2495 0.0097
S8 S 0.7398 0.7301 0.4903
```

---

(4)
Diffraction record for Y3MnAlS7. The powder XRD pattern is theoretical, not measured: it uses a structure optimized by DFT (PBE) and CuKα.
Intensities are scaled so that the largest is 100.

The 12 most intense peaks (2θ = 10–80°), in order of rising 2θ:
| d_spacing | intensity |
| --- | --- |
| 4.953 | 49 |
| 3.805 | 39 |
| 3.466 | 100 |
| 3.177 | 43 |
| 2.821 | 49 |
| 2.591 | 47 |
| 2.548 | 69 |
| 2.476 | 89 |
| 2.426 | 65 |
| 2.206 | 49 |
| 2.179 | 48 |
| 1.838 | 57 |

Atomic structure:
```
data_Y3MnAlS7
_symmetry_space_group_name_H-M 'P 1'
_symmetry_Int_Tables_number 1
_cell_length_a 9.7054
_cell_length_b 9.7054
_cell_length_c 6.1300
_cell_angle_alpha 90.00
_cell_angle_beta 90.00
_cell_angle_gamma 120.00
loop_
_symmetry_equiv_pos_as_xyz
'x,y,z'
loop_
_atom_site_label
_atom_site_type_symbol
_atom_site_fract_x
_atom_site_fract_y
_atom_site_fract_z
Y1 Y 0.1445 0.3777 0.0000
Y2 Y 0.2332 0.8555 0.0000
Y3 Y 0.3777 0.2332 0.5000
Y4 Y 0.6223 0.7668 0.0000
Y5 Y 0.7668 0.1445 0.5000
Y6 Y 0.8555 0.6223 0.5000
Mn1 Mn 0.0000 0.0000 0.2934
Mn2 Mn 0.0000 0.0000 0.7934
Al1 Al 0.3333 0.6667 0.4255
Al2 Al 0.6667 0.3333 0.9255
S1 S 0.0944 0.5779 0.2676
S2 S 0.0996 0.2440 0.5763
S3 S 0.1444 0.9004 0.5763
S4 S 0.2440 0.1444 0.0763
S5 S 0.3333 0.6667 0.7922
S6 S 0.4221 0.5165 0.2676
S7 S 0.4835 0.9056 0.2676
S8 S 0.5165 0.0944 0.7676
S9 S 0.5779 0.4835 0.7676
S10 S 0.6667 0.3333 0.2922
S11 S 0.7560 0.8556 0.5763
S12 S 0.8556 0.0996 0.0763
S13 S 0.9004 0.7560 0.0763
S14 S 0.9056 0.4221 0.7676
```

---

(5)
Diffraction record for ScMn4Al8. The powder XRD pattern is theoretical, not measured: it uses a structure optimized by DFT (PBE) and CuKα.
Intensities are scaled so that the largest is 100.

The 12 most intense peaks (2θ = 10–80°), in order of rising 2θ:
| d_spacing | intensity |
| --- | --- |
| 4.336 | 81 |
| 3.066 | 18 |
| 2.522 | 26 |
| 2.216 | 100 |
| 2.180 | 47 |
| 2.168 | 82 |
| 1.973 | 89 |
| 1.939 | 43 |
| 1.550 | 27 |
| 1.533 | 15 |
| 1.261 | 26 |
| 1.211 | 15 |

Atomic structure:
```
data_ScMn4Al8
_symmetry_space_group_name_H-M 'P 1'
_symmetry_Int_Tables_number 1
_cell_length_a 6.6519
_cell_length_b 6.6519
_cell_length_c 6.6519
_cell_angle_alpha 98.64
_cell_angle_beta 98.64
_cell_angle_gamma 134.38
loop_
_symmetry_equiv_pos_as_xyz
'x,y,z'
loop_
_atom_site_label
_atom_site_type_symbol
_atom_site_fract_x
_atom_site_fract_y
_atom_site_fract_z
Sc1 Sc 0.0000 0.0000 0.0000
Mn1 Mn 0.0000 0.0000 0.5000
Mn2 Mn 0.0000 0.5000 0.0000
Mn3 Mn 0.5000 0.0000 0.0000
Mn4 Mn 0.5000 0.5000 0.5000
Al1 Al 0.0000 0.3315 0.3315
Al2 Al 0.0000 0.6685 0.6685
Al3 Al 0.2772 0.5000 0.7772
Al4 Al 0.3315 0.0000 0.3315
Al5 Al 0.5000 0.2772 0.7772
Al6 Al 0.5000 0.7228 0.2228
Al7 Al 0.6685 0.0000 0.6685
Al8 Al 0.7228 0.5000 0.2228
```

---

(6)
Diffraction record for SmMn4Al8. The powder XRD pattern is theoretical, not measured: it uses a structure optimized by DFT (PBE) and CuKα.
Intensities are scaled so that the largest is 100.

The 12 most intense peaks (2θ = 10–80°), in order of rising 2θ:
| d_spacing | intensity |
| --- | --- |
| 6.246 | 50 |
| 4.320 | 44 |
| 3.123 | 45 |
| 3.088 | 63 |
| 2.793 | 30 |
| 2.531 | 51 |
| 2.208 | 75 |
| 2.196 | 85 |
| 2.160 | 100 |
| 1.544 | 36 |
| 1.273 | 20 |
| 1.265 | 25 |

Atomic structure:
```
data_SmMn4Al8
_symmetry_space_group_name_H-M 'P 1'
_symmetry_Int_Tables_number 1
_cell_length_a 6.7187
_cell_length_b 6.7187
_cell_length_c 6.7187
_cell_angle_alpha 97.81
_cell_angle_beta 97.81
_cell_angle_gamma 136.75
loop_
_symmetry_equiv_pos_as_xyz
'x,y,z'
loop_
_atom_site_label
_atom_site_type_symbol
_atom_site_fract_x
_atom_site_fract_y
_atom_site_fract_z
Sm1 Sm 0.0000 0.0000 0.0000
Mn1 Mn 0.0000 0.0000 0.5000
Mn2 Mn 0.0000 0.5000 0.0000
Mn3 Mn 0.5000 0.0000 0.0000
Mn4 Mn 0.5000 0.5000 0.5000
Al1 Al 0.0000 0.3428 0.3428
Al2 Al 0.0000 0.6572 0.6572
Al3 Al 0.2798 0.5000 0.7798
Al4 Al 0.3428 0.0000 0.3428
Al5 Al 0.5000 0.2798 0.7798
Al6 Al 0.5000 0.7202 0.2202
Al7 Al 0.6572 0.0000 0.6572
Al8 Al 0.7202 0.5000 0.2202
```